Theoretical powder X-ray diffraction pattern
Compound: SrCaCuBiO6
Radiation: λ = 1.5418 Å (Cu Kα)
Structure: a GGA-PBE-relaxed structure
Lines closer than 0.1° are merged.

Principal peaks in the range 2θ = 15–90°, most intense first:
hkl, d/Å, I (rel.)
2 2 0, 2.869, 100
4 2 2, 1.656, 40
4 0 0, 2.029, 33
1 1 1, 4.685, 29
2 0 0, 4.057, 27
3 1 1, 2.447, 20
4 4 0, 1.434, 20
6 2 0, 1.283, 18
4 2 0, 1.814, 12
3 3 1, 1.862, 10

Structure:
Cell: 8.1144 8.1144 8.1144 Å, 90.00 90.00 90.00°
Space group F-43m (No. 216)
Unique sites:
Sr 0.0000 0.0000 0.0000 (multiplicity 4)
Ca 0.0000 0.0000 0.5000 (multiplicity 4)
Cu 0.2500 0.2500 0.2500 (multiplicity 4)
Bi 0.2500 0.2500 0.7500 (multiplicity 4)
O 0.0106 0.2500 0.2500 (multiplicity 24)

***

Theoretical powder X-ray diffraction pattern
Compound: Sr2CaCu2Bi2O8
Radiation: λ = 1.5418 Å (Cu Kα)
Structure: a GGA-PBE-relaxed structure
Lines closer than 0.1° are merged.

Principal peaks in the range 2θ = 15–90°, most intense first:
hkl, d/Å, I (rel.)
1 5 1, 3.292, 100
1 7 1, 2.936, 41
2 0 0, 2.736, 34
0 0 2, 2.709, 32
1 3 1, 3.618, 29
2 0 2, 1.925, 29
0 10 2, 2.062, 29
0 8 0, 3.970, 23
1 15 1, 1.855, 21
0 10 0, 3.176, 17

Structure:
Cell: 5.4729 31.7599 5.4171 Å, 90.00 90.00 90.00°
Space group Ccc2 (No. 37)
Unique sites:
Sr 0.2488 0.1442 0.0000 (multiplicity 8)
Ca 0.2500 0.2500 0.9956 (multiplicity 4)
Cu 0.2501 0.2012 0.4968 (multiplicity 8)
Bi 0.2233 0.4485 0.5532 (multiplicity 8)
O 0.0000 0.1990 0.2470 (multiplicity 8)
O 0.0002 0.3011 0.2467 (multiplicity 8)
O 0.1650 0.4466 0.9576 (multiplicity 8)
O 0.2409 0.1156 0.5104 (multiplicity 8)

***

Theoretical powder X-ray diffraction pattern
Compound: Sr5CaCu4Bi4O8
Radiation: λ = 1.5418 Å (Cu Kα)
Structure: a GGA-PBE-relaxed structure
Lines closer than 0.1° are merged.

Principal peaks in the range 2θ = 15–90°, most intense first:
hkl, d/Å, I (rel.)
1 1 3, 2.880, 100
1 1 -4, 2.864, 78
0 2 0, 2.832, 69
1 1 2, 3.301, 67
1 1 -3, 3.284, 64
1 0 0, 5.580, 61
0 0 6, 2.400, 42
2 2 -1, 2.006, 37
2 0 -1, 2.843, 32
0 2 5, 2.018, 31

Structure:
Cell: 5.6866 5.6639 14.6507 Å, 90.00 100.73 90.00°
Space group P2/m (No. 10)
Unique sites:
Sr 0.0000 0.0000 0.0000 (multiplicity 1)
Sr 0.1100 0.0000 0.2217 (multiplicity 2)
Sr 0.3932 0.5000 0.7776 (multiplicity 2)
Ca 0.5000 0.5000 0.0000 (multiplicity 1)
Cu 0.0547 0.5000 0.1150 (multiplicity 2)
Cu 0.4438 0.0000 0.8849 (multiplicity 2)
Bi 0.1148 0.5000 0.4116 (multiplicity 2)
Bi 0.2046 0.0000 0.5889 (multiplicity 2)
O 0.1937 0.2525 0.8789 (multiplicity 4)
O 0.3094 0.2542 0.1158 (multiplicity 4)

***

Theoretical powder X-ray diffraction pattern
Compound: Sr2CaCu2Bi2O8
Radiation: λ = 1.5418 Å (Cu Kα)
Structure: a GGA-PBE-relaxed structure
Lines closer than 0.1° are merged.

Principal peaks in the range 2θ = 15–90°, most intense first:
hkl, d/Å, I (rel.)
1 0 5, 3.232, 100
1 1 0, 2.653, 89
2 0 0, 1.876, 50
1 0 7, 2.894, 43
1 1 10, 2.038, 34
2 1 5, 1.623, 29
1 0 3, 3.538, 24
0 0 8, 3.977, 22
1 0 15, 1.847, 19
0 0 10, 3.182, 17

Structure:
Cell: 3.7525 3.7525 31.8168 Å, 90.00 90.00 90.00°
Space group I4/mmm (No. 139)
Unique sites:
Sr 0.0000 0.0000 0.1079 (multiplicity 4)
Ca 0.0000 0.0000 0.0000 (multiplicity 2)
Cu 0.0000 0.0000 0.4520 (multiplicity 4)
Bi 0.0000 0.0000 0.3019 (multiplicity 4)
O 0.0000 0.0000 0.1970 (multiplicity 4)
O 0.0000 0.0000 0.3669 (multiplicity 4)
O 0.0000 0.5000 0.0503 (multiplicity 8)

***

Theoretical powder X-ray diffraction pattern
Compound: CaEuMgBiO6
Radiation: λ = 1.5418 Å (Cu Kα)
Structure: a GGA-PBE-relaxed structure
Lines closer than 0.1° are merged.

Principal peaks in the range 2θ = 15–90°, most intense first:
hkl, d/Å, I (rel.)
2 2 0, 2.884, 100
1 1 1, 4.710, 61
4 2 2, 1.665, 41
3 1 1, 2.460, 38
4 0 0, 2.039, 33
4 4 0, 1.442, 20
6 2 0, 1.290, 18
3 3 1, 1.872, 18
3 3 3, 1.570, 13
5 3 1, 1.379, 13

Structure:
Cell: 8.1579 8.1579 8.1579 Å, 90.00 90.00 90.00°
Space group F-43m (No. 216)
Unique sites:
Ca 0.0000 0.0000 0.0000 (multiplicity 4)
Eu 0.0000 0.0000 0.5000 (multiplicity 4)
Mg 0.2500 0.2500 0.7500 (multiplicity 4)
Bi 0.2500 0.2500 0.2500 (multiplicity 4)
O 0.0040 0.2500 0.7500 (multiplicity 24)